This entry pairs a crystal structure of LiNb2P3O12 with its simulated powder diffractogram. Radiation: λ = 1.5418 Å (Cu Kα). Structure: a structure optimized by DFT (GGA-PBE).
Peak positions follow from Bragg's law for the DFT cell and can differ from measured ones.

Main lines, in order of falling intensity (5 to 70 degrees two-theta):
19.92 deg, I 100
23.46 deg, I 37
34.93 deg, I 34
28.40 deg, I 28
20.00 deg, I 24
54.52 deg, I 24
14.06 deg, I 22
31.82 deg, I 22
45.63 deg, I 19
23.34 deg, I 19
34.82 deg, I 18
28.20 deg, I 14

```
36
Lattice="7.721 -4.449 0.000 7.721 4.449 0.000 -5.087 0.000 7.276" Properties=species:S:1:pos:R:3 pbc="T T T"
Li 5.178 2.733 3.638
Li 7.721 -2.733 0.000
Nb 5.749 2.193 0.398
Nb 5.791 2.211 6.585
Nb 3.206 -2.193 4.036
Nb 8.335 -2.211 2.947
P -1.621 0.936 5.303
P 0.922 -0.936 1.665
P 2.888 0.969 5.262
P 5.432 -0.969 1.624
P 8.358 0.357 5.338
P 10.902 -0.357 1.700
O 4.445 3.183 1.773
O 0.746 0.611 1.593
O -0.874 1.389 6.567
O 2.136 1.448 4.007
O -1.797 -0.611 5.231
O 7.237 2.880 1.667
O 9.443 3.107 0.401
O 2.118 1.341 6.539
O 4.286 1.648 5.209
O 5.604 0.565 1.617
O 1.670 -1.389 2.929
O 4.680 -1.448 0.369
O 3.061 -0.565 5.255
O 7.104 1.253 5.352
O 4.662 -1.341 2.901
O 10.852 0.495 0.426
O 6.829 -1.648 1.571
O 1.902 -3.183 5.411
O 8.308 -0.495 4.064
O 10.963 0.534 2.966
O 9.647 -1.253 1.714
O 4.693 -2.880 5.305
O 8.419 -0.534 6.604
O 6.900 -3.107 4.039
```